1.
Structure and calculated powder X-ray diffraction pattern of BaYCu3Se4 (a cell relaxed with PBE; copper Kα).
Peak positions follow from Bragg's law for the DFT cell and can differ from measured ones.

Structure:
```
BaYCu3Se4
1.0
6.490 0.000 0.000
0.000 6.490 0.000
0.000 0.000 6.490
Ba Y Cu Se
1 1 3 4
Direct
0.000 0.000 0.000
0.500 0.500 0.500
0.000 0.500 0.500
0.500 0.000 0.500
0.500 0.500 0.000
0.268 0.268 0.732
0.268 0.732 0.268
0.732 0.268 0.268
0.732 0.732 0.732
```

Most intense lines, 10° ≤ 2θ ≤ 80°, in order of falling intensity:
| Position (°2θ) | d [Å] | I_rel |
| --- | --- | --- |
| 39.3 | 2.295 | 100 |
| 23.7 | 3.747 | 75 |
| 46.4 | 1.957 | 34 |
| 71.2 | 1.325 | 30 |
| 19.3 | 4.589 | 29 |
| 56.7 | 1.622 | 16 |
| 33.8 | 2.650 | 15 |
| 62.4 | 1.489 | 13 |



2.
Structure and calculated powder X-ray diffraction pattern of Ba8CuSi16 (a cell relaxed with PBE; copper Kα).
Peak positions follow from Bragg's law for the DFT cell and can differ from measured ones.

Structure:
```
Ba8CuSi16
1.0
6.907 0.000 0.000
0.675 9.035 0.000
0.074 0.070 11.907
Ba Cu Si
8 1 16
Direct
0.000 0.000 0.000
0.020 0.300 0.269
0.059 0.785 0.364
0.414 0.264 0.864
0.450 0.115 0.486
0.478 0.785 0.792
0.537 0.641 0.161
0.917 0.451 0.663
0.748 0.831 0.573
0.037 0.618 0.119
0.053 0.852 0.644
0.105 0.088 0.715
0.211 0.589 0.944
0.343 0.010 0.224
0.366 0.486 0.423
0.418 0.473 0.616
0.515 0.223 0.165
0.518 0.997 0.050
0.533 0.674 0.506
0.689 0.496 0.906
0.693 0.995 0.226
0.771 0.044 0.700
0.873 0.690 0.942
0.958 0.083 0.530
0.985 0.408 0.996
```

Most intense lines, 10° ≤ 2θ ≤ 80°, in order of falling intensity:
| Position (°2θ) | d [Å] | I_rel |
| --- | --- | --- |
| 25.9 | 3.445 | 100 |
| 26.0 | 3.430 | 70 |
| 25.5 | 3.493 | 67 |
| 30.6 | 2.919 | 50 |
| 24.7 | 3.609 | 31 |
| 22.5 | 3.957 | 29 |
| 23.9 | 3.727 | 28 |
| 39.1 | 2.305 | 27 |



3.
Structure and calculated powder X-ray diffraction pattern of Ba8CuSi16 (a cell relaxed with PBE; copper Kα).
Peak positions follow from Bragg's law for the DFT cell and can differ from measured ones.

Structure:
```
Ba8CuSi16
1.0
9.158 0.000 0.000
0.000 6.769 0.000
-0.097 0.000 11.584
Ba Cu Si
8 1 16
Direct
0.000 0.000 0.000
0.025 0.500 0.385
0.171 0.000 0.601
0.344 0.500 0.108
0.504 0.000 0.891
0.529 0.500 0.498
0.671 0.000 0.288
0.874 0.500 0.778
0.590 0.500 0.921
0.098 0.000 0.286
0.204 0.320 0.838
0.204 0.680 0.838
0.210 0.500 0.658
0.311 0.000 0.161
0.318 0.177 0.341
0.318 0.823 0.341
0.419 0.500 0.781
0.598 0.000 0.601
0.711 0.500 0.226
0.714 0.303 0.054
0.714 0.697 0.054
0.812 0.000 0.727
0.818 0.178 0.547
0.818 0.822 0.547
0.927 0.500 0.100
```

Most intense lines, 10° ≤ 2θ ≤ 80°, in order of falling intensity:
| Position (°2θ) | d [Å] | I_rel |
| --- | --- | --- |
| 26.3 | 3.384 | 100 |
| 26.6 | 3.354 | 88 |
| 24.7 | 3.610 | 77 |
| 22.5 | 3.957 | 60 |
| 30.2 | 2.960 | 57 |
| 24.8 | 3.597 | 53 |
| 22.4 | 3.976 | 47 |
| 32.2 | 2.783 | 45 |